Starting from a DFT-relaxed cell (GGA-PBE, OQMD), the powder diffraction line list of LiPt2O4 was calculated for Cu Kα (weighted mean of Kα1 and Kα2).
Intensities are scaled so that the largest is 100.

Principal peaks in the range 15 to 90 degrees two-theta, most intense first:
2θ = 17.5°, 5.079 Å, intensity 100
2θ = 33.8°, 2.653 Å, intensity 57
2θ = 35.3°, 2.540 Å, intensity 47
2θ = 41.0°, 2.199 Å, intensity 44
2θ = 59.4°, 1.555 Å, intensity 30
2θ = 54.2°, 1.693 Å, intensity 23
2θ = 44.9°, 2.018 Å, intensity 22
2θ = 71.1°, 1.326 Å, intensity 22
2θ = 62.5°, 1.487 Å, intensity 20
2θ = 84.6°, 1.145 Å, intensity 13
2θ = 77.5°, 1.232 Å, intensity 11
2θ = 74.8°, 1.270 Å, intensity 9

Structure:
```
14
Lattice="0.000 4.399 4.399 4.399 0.000 4.399 4.399 4.399 0.000" Properties=species:S:1:pos:R:3 pbc="T T T"
Li 1.100 1.100 1.100
Li 7.698 7.698 7.698
Pt 4.399 2.199 2.199
Pt 2.199 4.399 2.199
Pt 2.199 2.199 4.399
Pt 4.399 4.399 4.399
O 2.315 2.315 2.315
O 4.283 4.283 2.315
O 4.283 2.315 4.283
O 6.483 4.514 4.514
O 2.315 4.283 4.283
O 4.514 6.483 4.514
O 4.514 4.514 6.483
O 6.483 6.483 6.483
```

=====

Starting from a DFT-relaxed cell (GGA-PBE, OQMD), the powder diffraction line list of Li4Pt2O5 was calculated for Cu Kα (weighted mean of Kα1 and Kα2).
Intensities are scaled so that the largest is 100.

Principal peaks in the range 15 to 90 degrees two-theta, most intense first:
2θ = 20.9°, 4.245 Å, intensity 100
2θ = 29.8°, 3.000 Å, intensity 69
2θ = 36.7°, 2.450 Å, intensity 66
2θ = 21.9°, 4.059 Å, intensity 55
2θ = 48.4°, 1.881 Å, intensity 36
2θ = 30.5°, 2.934 Å, intensity 31
2θ = 52.8°, 1.733 Å, intensity 29
2θ = 42.2°, 2.144 Å, intensity 25
2θ = 42.6°, 2.123 Å, intensity 25
2θ = 47.5°, 1.914 Å, intensity 23
2θ = 43.1°, 2.099 Å, intensity 23
2θ = 66.1°, 1.414 Å, intensity 22

Structure:
```
11
Lattice="2.144 -6.298 0.000 2.144 6.298 0.000 0.000 0.000 4.245" Properties=species:S:1:pos:R:3 pbc="T T T"
Li 0.000 0.000 0.000
Li 2.144 3.936 2.123
Li 2.144 0.000 2.123
Li 2.144 -3.936 2.123
Pt 2.144 2.055 0.000
Pt 2.144 -2.055 0.000
O 2.144 4.172 0.000
O 2.144 1.924 2.123
O 2.144 0.000 0.000
O 2.144 -1.924 2.123
O 2.144 -4.172 0.000
```

=====

Starting from a DFT-relaxed cell (GGA-PBE, OQMD), the powder diffraction line list of Li7PtO6 was calculated for Cu Kα (weighted mean of Kα1 and Kα2).
Intensities are scaled so that the largest is 100.

Principal peaks in the range 15 to 90 degrees two-theta, most intense first:
2θ = 19.6°, 4.532 Å, intensity 100
2θ = 22.4°, 3.969 Å, intensity 74
2θ = 37.7°, 2.386 Å, intensity 44
2θ = 18.7°, 4.749 Å, intensity 32
2θ = 31.3°, 2.856 Å, intensity 27
2θ = 50.7°, 1.800 Å, intensity 26
2θ = 36.7°, 2.448 Å, intensity 19
2θ = 38.2°, 2.357 Å, intensity 16
2θ = 50.9°, 1.792 Å, intensity 15
2θ = 52.2°, 1.751 Å, intensity 15
2θ = 32.4°, 2.760 Å, intensity 14
2θ = 39.8°, 2.266 Å, intensity 13

Structure:
```
14
Lattice="2.760 1.593 4.749 -2.760 1.593 4.749 0.000 -3.187 4.749" Properties=species:S:1:pos:R:3 pbc="T T T"
Li 0.000 0.000 0.000
Li -0.723 -1.355 6.166
Li -2.096 0.051 7.769
Li -0.812 1.303 6.166
Li 1.004 -1.841 7.769
Li 1.535 0.052 6.166
Li 1.093 1.790 7.769
Pt 0.000 0.000 9.349
O -2.070 -0.063 5.758
O -0.837 -1.394 8.174
O 1.090 -1.761 5.758
O -0.788 1.422 8.174
O 0.980 1.824 5.758
O 1.626 -0.028 8.174
```

=====

Starting from a DFT-relaxed cell (GGA-PBE, OQMD), the powder diffraction line list of Li2PtO3 was calculated for Cu Kα (weighted mean of Kα1 and Kα2).
Intensities are scaled so that the largest is 100.

Principal peaks in the range 15 to 90 degrees two-theta, most intense first:
2θ = 24.0°, 3.706 Å, intensity 100
2θ = 32.0°, 2.800 Å, intensity 50
2θ = 36.4°, 2.471 Å, intensity 39
2θ = 52.4°, 1.746 Å, intensity 36
2θ = 44.0°, 2.057 Å, intensity 20
2θ = 58.4°, 1.581 Å, intensity 18
2θ = 49.2°, 1.853 Å, intensity 15
2θ = 62.7°, 1.483 Å, intensity 15
2θ = 66.9°, 1.399 Å, intensity 12
2θ = 78.5°, 1.218 Å, intensity 12
2θ = 54.0°, 1.698 Å, intensity 11
2θ = 65.4°, 1.427 Å, intensity 11

Structure:
```
12
Lattice="2.472 1.427 4.933 -2.472 1.427 4.933 0.000 -2.855 4.933" Properties=species:S:1:pos:R:3 pbc="T T T"
Li 0.000 0.000 2.566
Li 0.000 0.000 4.833
Li 0.000 0.000 9.966
Li 0.000 0.000 12.233
Pt 0.000 0.000 0.000
Pt 0.000 0.000 7.400
O -1.643 0.009 6.167
O -0.829 -1.418 8.633
O 0.814 -1.427 6.167
O -0.814 1.427 8.633
O 0.829 1.418 6.167
O 1.643 -0.009 8.633
```

=====

Starting from a DFT-relaxed cell (GGA-PBE, OQMD), the powder diffraction line list of LiPtO4 was calculated for Cu Kα (weighted mean of Kα1 and Kα2).
Intensities are scaled so that the largest is 100.

Principal peaks in the range 15 to 90 degrees two-theta, most intense first:
2θ = 19.9°, 4.466 Å, intensity 100
2θ = 21.9°, 4.060 Å, intensity 39
2θ = 17.7°, 5.006 Å, intensity 37
2θ = 35.9°, 2.499 Å, intensity 36
2θ = 41.7°, 2.167 Å, intensity 26
2θ = 39.1°, 2.304 Å, intensity 22
2θ = 18.7°, 4.733 Å, intensity 21
2θ = 26.8°, 3.332 Å, intensity 19
2θ = 35.7°, 2.513 Å, intensity 17
2θ = 15.9°, 5.583 Å, intensity 15
2θ = 40.1°, 2.249 Å, intensity 15
2θ = 33.3°, 2.690 Å, intensity 14

Structure:
```
48
Lattice="5.185 0.000 0.000 -0.711 10.001 0.000 -2.148 -4.855 9.996" Properties=species:S:1:pos:R:3 pbc="T T T"
Li 0.000 0.000 0.000
Li -1.605 0.338 7.425
Li 0.246 6.896 0.087
Li -0.221 8.565 2.929
Li 0.944 5.641 3.211
Li 2.925 1.814 0.722
Li 2.520 3.148 3.816
Li 3.388 0.168 3.728
Pt -1.410 -2.583 8.197
Pt 0.151 2.087 2.796
Pt -0.202 3.503 5.557
Pt -0.603 4.767 8.292
Pt 1.113 0.660 5.366
Pt 0.838 1.964 8.138
Pt 2.508 8.158 0.892
Pt 2.477 -2.083 5.516
O -0.005 1.998 0.061
O -0.269 0.201 2.156
O -0.959 -2.525 6.290
O -0.157 4.717 1.243
O -0.602 1.668 4.651
O -0.843 2.932 7.420
O -0.898 -0.886 8.760
O 0.989 2.412 1.019
O 0.844 8.890 0.056
O 0.675 3.803 3.745
O 0.793 -1.189 4.770
O 0.307 0.366 7.147
O 0.324 -3.391 8.920
O 0.379 5.038 6.611
O -0.004 1.581 9.920
O 1.087 6.260 5.020
O 1.814 1.281 3.584
O 1.595 7.719 2.649
O 1.461 2.477 6.218
O 1.126 3.800 9.077
O 2.021 -2.104 7.426
O 2.926 5.480 2.407
O 3.544 0.066 1.584
O 2.551 8.139 3.664
O 2.899 -0.124 5.729
O 3.620 2.849 2.191
O 3.920 4.197 1.090
O 2.513 1.271 8.631
O 3.369 4.295 5.028
O 3.966 6.122 2.658
O 4.239 7.443 1.553
O 2.794 5.460 7.932
```

=====

Starting from a DFT-relaxed cell (GGA-PBE, OQMD), the powder diffraction line list of Li4SiPtO6 was calculated for Cu Kα (weighted mean of Kα1 and Kα2).
Intensities are scaled so that the largest is 100.

Principal peaks in the range 15 to 90 degrees two-theta, most intense first:
2θ = 18.9°, 4.695 Å, intensity 100
2θ = 21.5°, 4.129 Å, intensity 82
2θ = 24.1°, 3.694 Å, intensity 63
2θ = 36.5°, 2.460 Å, intensity 46
2θ = 20.5°, 4.327 Å, intensity 45
2θ = 44.5°, 2.035 Å, intensity 45
2θ = 28.0°, 3.182 Å, intensity 45
2θ = 64.7°, 1.442 Å, intensity 33
2θ = 32.9°, 2.724 Å, intensity 31
2θ = 43.9°, 2.064 Å, intensity 29
2θ = 44.3°, 2.043 Å, intensity 22
2θ = 38.0°, 2.366 Å, intensity 21

Structure:
```
12
Lattice="2.497 -4.327 0.000 2.497 4.327 0.000 -1.692 0.000 4.695" Properties=species:S:1:pos:R:3 pbc="T T T"
Li 0.000 0.000 0.000
Li 1.651 2.927 2.347
Li 1.651 0.013 2.347
Li 1.651 -2.932 2.347
Si 2.497 1.446 0.000
Pt 2.497 -1.442 0.000
O 1.015 1.463 1.030
O 0.087 0.143 3.635
O 0.762 -1.610 1.057
O 2.287 1.463 3.665
O 3.215 0.143 1.059
O 2.541 -1.610 3.638
```

=====

Starting from a DFT-relaxed cell (GGA-PBE, OQMD), the powder diffraction line list of Li2TePtO6 was calculated for Cu Kα (weighted mean of Kα1 and Kα2).
Intensities are scaled so that the largest is 100.

Principal peaks in the range 15 to 90 degrees two-theta, most intense first:
2θ = 21.3°, 4.174 Å, intensity 100
2θ = 33.1°, 2.706 Å, intensity 72
2θ = 20.0°, 4.429 Å, intensity 44
2θ = 40.8°, 2.209 Å, intensity 32
2θ = 53.2°, 1.723 Å, intensity 28
2θ = 36.4°, 2.471 Å, intensity 24
2θ = 51.8°, 1.766 Å, intensity 17
2θ = 60.9°, 1.522 Å, intensity 14
2θ = 34.4°, 2.604 Å, intensity 14
2θ = 42.8°, 2.112 Å, intensity 13
2θ = 50.5°, 1.808 Å, intensity 12
2θ = 64.8°, 1.439 Å, intensity 12

Structure:
```
20
Lattice="4.807 0.000 0.000 0.000 5.208 0.000 0.000 0.000 8.420" Properties=species:S:1:pos:R:3 pbc="T T T"
Li 0.000 0.000 0.000
Li 0.000 2.604 3.389
Li 2.403 0.000 7.599
Li 2.403 2.604 4.210
Te 0.000 0.000 5.132
Te 2.403 2.604 0.922
Pt 0.000 2.604 6.697
Pt 2.403 0.000 2.487
O 1.001 0.862 6.610
O 1.032 3.539 5.235
O 1.185 0.899 3.858
O 1.218 3.503 8.068
O 1.372 0.935 1.025
O 1.402 3.466 2.400
O 3.405 1.741 2.400
O 3.435 4.273 1.025
O 3.589 1.705 8.068
O 3.621 4.309 3.858
O 3.775 1.669 5.235
O 3.805 4.345 6.610
```

=====

Starting from a DFT-relaxed cell (GGA-PBE, OQMD), the powder diffraction line list of Li8Re4O11 was calculated for Cu Kα (weighted mean of Kα1 and Kα2).
Intensities are scaled so that the largest is 100.

Principal peaks in the range 15 to 90 degrees two-theta, most intense first:
2θ = 17.6°, 5.038 Å, intensity 100
2θ = 20.9°, 4.256 Å, intensity 22
2θ = 44.4°, 2.040 Å, intensity 20
2θ = 45.1°, 2.009 Å, intensity 17
2θ = 44.1°, 2.051 Å, intensity 16
2θ = 38.4°, 2.342 Å, intensity 14
2θ = 37.2°, 2.416 Å, intensity 14
2θ = 22.2°, 4.012 Å, intensity 14
2θ = 37.6°, 2.390 Å, intensity 13
2θ = 24.4°, 3.653 Å, intensity 13
2θ = 35.6°, 2.519 Å, intensity 12
2θ = 27.4°, 3.257 Å, intensity 12

Structure:
```
23
Lattice="4.843 0.000 0.000 -0.743 5.231 0.000 -0.319 -2.240 8.024" Properties=species:S:1:pos:R:3 pbc="T T T"
Li 0.000 0.000 0.000
Li -0.817 4.438 2.596
Li 0.663 1.993 1.907
Li 1.508 4.772 1.348
Li 1.538 4.037 3.952
Li 1.478 3.355 6.584
Li 3.099 0.809 5.978
Li 3.851 3.683 5.375
Re 0.705 1.269 4.627
Re 0.756 0.554 7.234
Re 3.013 2.445 0.565
Re 3.124 1.598 3.338
O -0.103 3.480 0.796
O -0.078 2.837 3.559
O -0.140 2.113 6.320
O 1.560 1.121 0.267
O 1.490 0.441 2.917
O 1.453 -0.389 5.585
O 2.386 3.264 2.302
O 2.332 2.448 5.066
O 3.932 0.788 1.666
O 3.761 -0.605 7.088
O 3.910 0.024 4.368
```

=====

Starting from a DFT-relaxed cell (GGA-PBE, OQMD), the powder diffraction line list of LiReO3 was calculated for Cu Kα (weighted mean of Kα1 and Kα2).
Intensities are scaled so that the largest is 100.

Principal peaks in the range 15 to 90 degrees two-theta, most intense first:
2θ = 20.8°, 4.269 Å, intensity 100
2θ = 32.9°, 2.723 Å, intensity 74
2θ = 20.3°, 4.382 Å, intensity 45
2θ = 36.4°, 2.471 Å, intensity 33
2θ = 41.1°, 2.196 Å, intensity 32
2θ = 52.4°, 1.748 Å, intensity 29
2θ = 35.0°, 2.561 Å, intensity 16
2θ = 51.4°, 1.778 Å, intensity 15
2θ = 61.5°, 1.508 Å, intensity 14
2θ = 63.2°, 1.471 Å, intensity 13
2θ = 42.0°, 2.153 Å, intensity 11
2θ = 50.2°, 1.819 Å, intensity 11

Structure:
```
20
Lattice="5.122 0.000 0.000 0.000 4.943 0.000 0.000 0.000 8.464" Properties=species:S:1:pos:R:3 pbc="T T T"
Li 1.280 0.000 1.645
Li 1.280 2.472 2.587
Li 3.841 0.000 6.819
Li 3.841 2.472 5.877
Re 1.280 0.000 5.034
Re 1.280 2.472 7.662
Re 3.841 0.000 3.430
Re 3.841 2.472 0.802
O 0.406 1.021 3.554
O 0.406 1.451 0.678
O 0.690 1.236 6.348
O 1.871 3.708 6.348
O 2.154 3.493 0.678
O 2.154 3.922 3.554
O 2.967 1.021 4.910
O 2.967 1.451 7.787
O 3.250 1.236 2.116
O 4.432 3.708 2.116
O 4.715 3.493 7.787
O 4.715 3.922 4.910
```

=====

Starting from a DFT-relaxed cell (GGA-PBE, OQMD), the powder diffraction line list of Li8Re4O11 was calculated for Cu Kα (weighted mean of Kα1 and Kα2).
Intensities are scaled so that the largest is 100.

Principal peaks in the range 15 to 90 degrees two-theta, most intense first:
2θ = 17.7°, 5.013 Å, intensity 100
2θ = 21.7°, 4.088 Å, intensity 38
2θ = 24.1°, 3.687 Å, intensity 28
2θ = 37.8°, 2.378 Å, intensity 26
2θ = 44.0°, 2.060 Å, intensity 16
2θ = 31.7°, 2.820 Å, intensity 16
2θ = 39.3°, 2.291 Å, intensity 16
2θ = 44.6°, 2.032 Å, intensity 15
2θ = 36.9°, 2.436 Å, intensity 14
2θ = 44.7°, 2.027 Å, intensity 14
2θ = 48.5°, 1.877 Å, intensity 12
2θ = 35.8°, 2.507 Å, intensity 12

Structure:
```
23
Lattice="4.819 0.000 0.000 0.821 5.204 0.000 0.256 2.276 8.170" Properties=species:S:1:pos:R:3 pbc="T T T"
Li 0.000 0.000 0.000
Li 0.910 5.945 2.743
Li 0.218 1.540 5.503
Li 1.615 3.073 2.094
Li 3.253 5.573 1.359
Li 3.489 7.094 6.785
Li 3.441 6.261 4.178
Li 4.313 4.258 6.102
Re 1.862 4.697 7.652
Re 1.978 3.899 4.559
Re 3.938 3.522 3.309
Re 3.999 2.776 0.702
O 0.808 1.558 1.134
O 0.954 2.375 3.802
O 1.119 3.215 6.516
O 2.402 4.046 0.458
O 2.604 5.380 5.836
O 3.255 1.842 2.409
O 3.478 3.463 7.824
O 3.465 2.664 5.084
O 4.845 4.364 1.711
O 5.056 5.856 7.148
O 5.072 4.943 4.316
```

=====

Starting from a DFT-relaxed cell (GGA-PBE, OQMD), the powder diffraction line list of Li2TaSbO4 was calculated for Cu Kα (weighted mean of Kα1 and Kα2).
Intensities are scaled so that the largest is 100.

Principal peaks in the range 15 to 90 degrees two-theta, most intense first:
2θ = 16.5°, 5.379 Å, intensity 100
2θ = 43.1°, 2.098 Å, intensity 61
2θ = 35.7°, 2.515 Å, intensity 56
2θ = 55.6°, 1.654 Å, intensity 25
2θ = 38.6°, 2.331 Å, intensity 24
2θ = 34.7°, 2.586 Å, intensity 20
2θ = 64.8°, 1.439 Å, intensity 16
2θ = 62.2°, 1.493 Å, intensity 15
2θ = 33.3°, 2.689 Å, intensity 14
2θ = 72.4°, 1.305 Å, intensity 10
2θ = 78.7°, 1.216 Å, intensity 10
2θ = 84.4°, 1.147 Å, intensity 9

Structure:
```
8
Lattice="2.986 0.000 0.000 -1.493 2.586 0.000 0.000 0.000 10.758" Properties=species:S:1:pos:R:3 pbc="T T T"
Li 0.000 0.000 2.691
Li 0.000 0.000 8.067
Ta 0.000 1.724 0.000
Sb 1.493 0.862 5.379
O 0.000 1.724 3.798
O 0.000 1.724 6.960
O 1.493 0.862 1.271
O 1.493 0.862 9.486
```